For Cs9KNa4, DFT lattice parameters and positions (PBE) gives the theoretical powder diffraction line list in this record (Cu Ka).

Largest 12 diffraction maxima, most intense first, 2θ from 10° to 90°:
h k l, 2θ/deg, I/Imax
3 1 2, 19.7, 100
2 1 5, 25.3, 56
4 0 2, 24.0, 54
4 1 3, 26.6, 37
0 0 4, 17.5, 35
3 3 0, 23.7, 35
5 2 5, 37.6, 32
4 1 1, 23.4, 25
2 2 2, 18.1, 24
2 1 1, 13.2, 21
7 1 0, 40.0, 19
4 2 0, 25.0, 16

Cell and atoms:
```
data_Cs9KNa4
_cell_length_a 15.9426
_cell_length_b 15.9426
_cell_length_c 20.2744
_cell_angle_alpha 90.00
_cell_angle_beta 90.00
_cell_angle_gamma 90.00
_space_group_name_H-M_alt 'I 4/m c m'
_space_group_IT_number 140
_space_group_name_Hall '-I 4 2c'
loop_
_atom_site_label
_atom_site_type_symbol
_atom_site_fract_x
_atom_site_fract_y
_atom_site_fract_z
_atom_site_occupancy
Cs1 Cs 0.0000 0.5000 0.0000 1
Cs2 Cs 0.0609 0.1953 0.0000 1
Cs3 Cs 0.1462 0.3538 0.2021 1
K1 K 0.0000 0.0000 0.2500 1
Na1 Na 0.1752 0.3248 0.4104 1
```

=====

For LiTl2Pd7Se2, DFT lattice parameters and positions (PBE) gives the theoretical powder diffraction line list in this record (Cu Ka).

Largest 12 diffraction maxima, most intense first, 2θ from 10° to 90°:
h k l, 2θ/deg, I/Imax
2 2 -1, 45.4, 100
0 2 1, 32.3, 90
0 2 5, 44.9, 81
0 0 4, 24.7, 74
2 0 2, 35.5, 55
2 0 -3, 35.1, 47
2 2 -4, 50.5, 46
0 2 3, 36.9, 44
2 0 -5, 42.2, 39
0 0 5, 31.0, 36
2 0 -2, 32.8, 35
2 0 4, 42.9, 34

Cell and atoms:
```
data_LiTl2Pd7Se2
_cell_length_a 5.6698
_cell_length_b 5.6523
_cell_length_c 14.5301
_cell_angle_alpha 90.00
_cell_angle_beta 96.40
_cell_angle_gamma 90.00
_space_group_name_H-M_alt 'C 1 2/m 1'
_space_group_IT_number 12
_space_group_name_Hall '-C 2y'
loop_
_atom_site_label
_atom_site_type_symbol
_atom_site_fract_x
_atom_site_fract_y
_atom_site_fract_z
_atom_site_occupancy
Li1 Li 0.0000 0.0000 0.0000 1
Tl1 Tl 0.1032 0.0000 0.4019 1
Pd1 Pd 0.0000 0.5000 0.0000 1
Pd2 Pd 0.0969 0.5000 0.4115 1
Pd3 Pd 0.2114 0.2498 0.8669 1
Se1 Se 0.0665 0.5000 0.2352 1
```

=====

For AlH3I6, DFT lattice parameters and positions (PBE) gives the theoretical powder diffraction line list in this record (Cu Ka).

Largest 12 diffraction maxima, most intense first, 2θ from 10° to 90°:
h k l, 2θ/deg, I/Imax
1 -1 3, 25.1, 100
2 0 -1, 23.4, 82
1 1 -4, 27.0, 48
1 1 2, 24.8, 39
0 2 -1, 21.7, 34
1 2 -1, 25.5, 34
1 -2 0, 24.0, 20
0 1 3, 24.9, 18
1 -2 2, 26.2, 17
0 0 6, 40.2, 14
1 2 0, 26.7, 14
0 1 -2, 15.1, 13

Cell and atoms:
```
data_AlH3I6
_cell_length_a 7.6315
_cell_length_b 8.2162
_cell_length_c 14.1220
_cell_angle_alpha 102.15
_cell_angle_beta 101.40
_cell_angle_gamma 94.41
_space_group_name_H-M_alt 'P 1'
_space_group_IT_number 1
_space_group_name_Hall 'P 1'
loop_
_atom_site_label
_atom_site_type_symbol
_atom_site_fract_x
_atom_site_fract_y
_atom_site_fract_z
_atom_site_occupancy
Al1 Al 0.0000 0.0000 0.0000 1
Al2 Al 0.4470 0.7137 0.4849 1
H1 H 0.5476 0.4919 0.2289 1
H2 H 0.5954 0.7502 0.9372 1
H3 H 0.6015 0.4752 0.0094 1
H4 H 0.8016 0.8697 0.4221 1
H5 H 0.8170 0.2954 0.7385 1
H6 H 0.9165 0.9919 0.2625 1
I1 I 0.0537 0.8060 0.8487 1
I2 I 0.0771 0.3088 0.0109 1
I3 I 0.1288 0.9109 0.1601 1
I4 I 0.3065 0.5056 0.3205 1
I5 I 0.3759 0.0090 0.4866 1
I6 I 0.3900 0.6020 0.6303 1
I7 I 0.5363 0.4843 0.8885 1
I8 I 0.6353 0.9725 0.9815 1
I9 I 0.7268 0.4688 0.1763 1
I10 I 0.7611 0.0483 0.3299 1
I11 I 0.8103 0.7299 0.5027 1
I12 I 0.9506 0.3035 0.6623 1
```

=====

For TiAlGa4, DFT lattice parameters and positions (PBE) gives the theoretical powder diffraction line list in this record (Cu Ka).

Largest 12 diffraction maxima, most intense first, 2θ from 10° to 90°:
h k l, 2θ/deg, I/Imax
1 0 3, 40.2, 100
1 2 1, 39.9, 69
2 0 0, 37.3, 62
0 2 2, 40.9, 40
1 2 3, 53.0, 32
0 2 0, 33.0, 31
2 2 2, 56.5, 29
0 4 0, 69.3, 28
1 4 3, 83.2, 22
2 2 0, 50.7, 18
1 2 5, 74.2, 16
1 0 1, 21.9, 14

Cell and atoms:
```
data_TiAlGa4
_cell_length_a 4.8162
_cell_length_b 5.4286
_cell_length_c 7.5950
_cell_angle_alpha 90.00
_cell_angle_beta 90.00
_cell_angle_gamma 90.00
_space_group_name_H-M_alt 'I m m m'
_space_group_IT_number 71
_space_group_name_Hall '-I 2 2'
loop_
_atom_site_label
_atom_site_type_symbol
_atom_site_fract_x
_atom_site_fract_y
_atom_site_fract_z
_atom_site_occupancy
Ti1 Ti 0.0000 0.0000 0.0000 1
Al1 Al 0.0000 0.5000 0.0000 1
Ga1 Ga 0.0000 0.2508 0.3286 1
```

=====

For BaNa2Cd2Ag, DFT lattice parameters and positions (PBE) gives the theoretical powder diffraction line list in this record (Cu Ka).

Largest 12 diffraction maxima, most intense first, 2θ from 10° to 90°:
h k l, 2θ/deg, I/Imax
1 1 0, 21.4, 100
2 0 0, 30.5, 63
2 0 4, 42.0, 35
1 1 4, 35.7, 34
0 0 4, 28.2, 26
2 2 0, 43.7, 23
3 1 0, 49.1, 21
1 0 3, 26.0, 19
2 2 4, 52.8, 18
3 1 4, 57.6, 16
2 1 3, 40.5, 11
4 2 4, 79.1, 10

Cell and atoms:
```
data_BaNa2Cd2Ag
_cell_length_a 5.8633
_cell_length_b 5.8633
_cell_length_c 12.6369
_cell_angle_alpha 90.00
_cell_angle_beta 90.00
_cell_angle_gamma 90.00
_space_group_name_H-M_alt 'I 4/m m m'
_space_group_IT_number 139
_space_group_name_Hall '-I 4 2'
loop_
_atom_site_label
_atom_site_type_symbol
_atom_site_fract_x
_atom_site_fract_y
_atom_site_fract_z
_atom_site_occupancy
Ba1 Ba 0.0000 0.0000 0.0000 1
Na1 Na 0.0000 0.5000 0.2500 1
Cd1 Cd 0.0000 0.0000 0.2863 1
Ag1 Ag 0.0000 0.0000 0.5000 1
```

=====

For CsGa3Ni, DFT lattice parameters and positions (PBE) gives the theoretical powder diffraction line list in this record (Cu Ka).

Largest 12 diffraction maxima, most intense first, 2θ from 10° to 90°:
h k l, 2θ/deg, I/Imax
2 0 0, 36.9, 100
1 1 1, 31.8, 94
2 2 0, 53.1, 68
1 1 0, 25.8, 44
3 1 1, 63.3, 38
4 2 0, 90.0, 30
2 2 2, 66.4, 23
2 1 1, 45.6, 18
3 3 1, 87.1, 16
4 0 0, 78.5, 10
3 2 1, 72.5, 9
3 1 0, 60.0, 8

Cell and atoms:
```
data_CsGa3Ni
_cell_length_a 4.8761
_cell_length_b 4.8761
_cell_length_c 4.8761
_cell_angle_alpha 90.00
_cell_angle_beta 90.00
_cell_angle_gamma 90.00
_space_group_name_H-M_alt 'P m -3 m'
_space_group_IT_number 221
_space_group_name_Hall '-P 4 2 3'
loop_
_atom_site_label
_atom_site_type_symbol
_atom_site_fract_x
_atom_site_fract_y
_atom_site_fract_z
_atom_site_occupancy
Cs1 Cs 0.0000 0.0000 0.0000 1
Ga1 Ga 0.0000 0.5000 0.5000 1
Ni1 Ni 0.5000 0.5000 0.5000 1
```

=====

For Te4O9, DFT lattice parameters and positions (PBE) gives the theoretical powder diffraction line list in this record (Cu Ka).

Largest 12 diffraction maxima, most intense first, 2θ from 10° to 90°:
h k l, 2θ/deg, I/Imax
1 1 3, 25.6, 100
3 0 0, 32.7, 32
2 0 2, 24.6, 30
1 1 6, 40.0, 27
2 3 2, 49.8, 27
0 0 3, 17.3, 25
3 -1 1, 29.3, 22
3 -2 2, 31.1, 19
0 3 3, 37.2, 19
2 -1 9, 57.3, 19
6 -1 1, 63.3, 17
5 -2 4, 54.2, 16

Cell and atoms:
```
data_Te4O9
_cell_length_a 9.4843
_cell_length_b 9.4843
_cell_length_c 15.3807
_cell_angle_alpha 90.00
_cell_angle_beta 90.00
_cell_angle_gamma 120.00
_space_group_name_H-M_alt 'R -3'
_space_group_IT_number 148
_space_group_name_Hall '-R 3'
loop_
_atom_site_label
_atom_site_type_symbol
_atom_site_fract_x
_atom_site_fract_y
_atom_site_fract_z
_atom_site_occupancy
Te1 Te 0.0000 0.0000 0.1839 1
Te2 Te 0.0210 0.7349 0.5751 1
O1 O 0.0207 0.8456 0.2577 1
O2 O 0.0314 0.2575 0.5451 1
O3 O 0.0330 0.8539 0.8956 1
```

=====

For Tb3BiS2, DFT lattice parameters and positions (PBE) gives the theoretical powder diffraction line list in this record (Cu Ka).

Largest 12 diffraction maxima, most intense first, 2θ from 10° to 90°:
h k l, 2θ/deg, I/Imax
2 2 2, 36.6, 100
0 4 0, 32.2, 49
2 3 1, 36.3, 48
0 2 2, 26.7, 43
4 4 0, 61.1, 40
1 0 1, 16.2, 40
2 1 1, 28.0, 37
4 0 0, 50.4, 35
1 1 2, 25.9, 31
0 1 3, 33.2, 28
2 2 0, 29.5, 25
1 2 1, 22.8, 20

Cell and atoms:
```
data_Tb3BiS2
_cell_length_a 7.2371
_cell_length_b 11.1196
_cell_length_c 8.3566
_cell_angle_alpha 90.00
_cell_angle_beta 90.00
_cell_angle_gamma 90.00
_space_group_name_H-M_alt 'I m m a'
_space_group_IT_number 74
_space_group_name_Hall '-I 2b 2'
loop_
_atom_site_label
_atom_site_type_symbol
_atom_site_fract_x
_atom_site_fract_y
_atom_site_fract_z
_atom_site_occupancy
Tb1 Tb 0.2300 0.0000 0.0000 1
Tb2 Tb 0.2500 0.2500 0.2500 1
Bi1 Bi 0.0000 0.2500 0.9039 1
S1 S 0.0000 0.0623 0.2864 1
```

=====

For Nd7Tm12Cd, DFT lattice parameters and positions (PBE) gives the theoretical powder diffraction line list in this record (Cu Ka).

Largest 12 diffraction maxima, most intense first, 2θ from 10° to 90°:
h k l, 2θ/deg, I/Imax
0 1 3, 32.2, 100
2 -1 2, 32.9, 50
2 2 0, 32.1, 40
0 3 -2, 32.0, 34
2 1 -3, 33.9, 28
4 0 -1, 48.0, 22
1 3 0, 33.2, 19
1 2 -3, 31.8, 18
3 1 -1, 37.0, 14
4 -3 1, 58.2, 12
1 1 -3, 28.6, 11
0 3 0, 30.3, 11

Cell and atoms:
```
data_Nd7Tm12Cd
_cell_length_a 7.5893
_cell_length_b 9.0784
_cell_length_c 9.8169
_cell_angle_alpha 102.63
_cell_angle_beta 99.42
_cell_angle_gamma 90.52
_space_group_name_H-M_alt 'P -1'
_space_group_IT_number 2
_space_group_name_Hall '-P 1'
loop_
_atom_site_label
_atom_site_type_symbol
_atom_site_fract_x
_atom_site_fract_y
_atom_site_fract_z
_atom_site_occupancy
Nd1 Nd 0.0000 0.0000 0.0000 1
Nd2 Nd 0.1259 0.2274 0.3170 1
Nd3 Nd 0.2354 0.5219 0.7948 1
Nd4 Nd 0.3702 0.8702 0.3613 1
Tm1 Tm 0.0179 0.6852 0.0787 1
Tm2 Tm 0.1225 0.6155 0.4383 1
Tm3 Tm 0.1500 0.1020 0.6425 1
Tm4 Tm 0.3397 0.4825 0.1640 1
Tm5 Tm 0.4156 0.8213 0.7133 1
Tm6 Tm 0.4637 0.1848 0.9459 1
Cd1 Cd 0.5000 0.5000 0.5000 1
```